Starting from a cell relaxed with GGA-PBE, the PXRD pattern of CeReB14 was simulated for CuKα.

Largest 6 diffraction maxima, by intensity, 2θ from 10° to 90°:
d 5.459, 16.24°, I 100; d 2.682, 33.41°, I 70; d 2.202, 40.98°, I 51; d 2.194, 41.14°, I 50; d 2.671, 33.56°, I 37; d 6.589, 13.44°, I 36

Crystal structure
Cell lengths 7.4492, 7.4492, 7.4492 Å; angles 133.58, 85.75, 112.63 degrees
Atoms (fractional coordinates):
Ce  0.3735  0.1235  0.2500
Ce  0.6265  0.8765  0.7500
Re  0.0000  0.0000  0.5000
Re  0.0000  0.5000  0.0000
B  0.0109  0.1317  0.8792
B  0.0281  0.2046  0.3322
B  0.0281  0.6960  0.8236
B  0.0873  0.6696  0.4177
B  0.2052  0.5381  0.6671
B  0.2236  0.4980  0.3999
B  0.2236  0.8236  0.7255
B  0.2482  0.3304  0.9177
B  0.2475  0.8683  0.3792
B  0.3710  0.5381  0.8329
B  0.3724  0.2046  0.6764
B  0.3724  0.6960  0.1678
B  0.4019  0.1764  0.8999
B  0.4019  0.5020  0.2255
B  0.5981  0.4980  0.7745
B  0.5981  0.8236  0.1001
B  0.6276  0.3040  0.8322
B  0.6276  0.7954  0.3236
B  0.6290  0.4619  0.1671
B  0.7525  0.1317  0.6208
B  0.7518  0.6696  0.0823
B  0.7764  0.1764  0.2745
B  0.7764  0.5020  0.6001
B  0.7948  0.4619  0.3329
B  0.9127  0.3304  0.5823
B  0.9719  0.3040  0.1764
B  0.9719  0.7954  0.6678
B  0.9891  0.8683  0.1208

---

Starting from a cell relaxed with GGA-PBE, the PXRD pattern of CeRe4B4 was simulated for CuKα.

Largest 6 diffraction maxima, by intensity, 2θ from 10° to 90°:
d 2.626, 34.15°, I 100; d 2.358, 38.16°, I 75; d 2.242, 40.23°, I 62; d 2.047, 44.24°, I 46; d 5.273, 16.81°, I 45; d 3.313, 26.91°, I 44

Crystal structure
Cell lengths 7.4573, 7.4573, 4.2583 Å; angles 90.00, 90.00, 90.00 degrees
Atoms (fractional coordinates):
Ce  0.2500  0.2500  0.2500
Ce  0.7500  0.7500  0.7500
Re  0.1177  0.6238  0.1186
Re  0.1238  0.8823  0.6186
Re  0.3762  0.6177  0.6186
Re  0.3823  0.8762  0.1186
Re  0.6177  0.1238  0.8814
Re  0.6238  0.3823  0.3814
Re  0.8762  0.1177  0.3814
Re  0.8823  0.3762  0.8814
B  0.0594  0.9217  0.1202
B  0.0783  0.5594  0.6202
B  0.4217  0.9406  0.6202
B  0.4406  0.5783  0.1202
B  0.5594  0.4217  0.8798
B  0.5783  0.0594  0.3798
B  0.9217  0.4406  0.3798
B  0.9406  0.0783  0.8798

---

Starting from a cell relaxed with GGA-PBE, the PXRD pattern of Ce8Re13B12 was simulated for CuKα.

Largest 6 diffraction maxima, by intensity, 2θ from 10° to 90°:
d 2.672, 33.54°, I 100; d 2.339, 38.49°, I 93; d 2.458, 36.56°, I 65; d 2.233, 40.40°, I 41; d 2.528, 35.51°, I 39; d 2.419, 37.16°, I 38

Crystal structure
Cell lengths 7.8390, 7.8390, 7.8390 Å; angles 85.97, 85.97, 85.97 degrees
Atoms (fractional coordinates):
Ce  0.1464  0.1464  0.1464
Ce  0.1796  0.6839  0.6839
Ce  0.3161  0.3161  0.8204
Ce  0.3161  0.8204  0.3161
Ce  0.6839  0.1796  0.6839
Ce  0.6839  0.6839  0.1796
Ce  0.8204  0.3161  0.3161
Ce  0.8536  0.8536  0.8536
Re  0.0953  0.0953  0.5670
Re  0.0953  0.5670  0.0953
Re  0.1715  0.4252  0.4252
Re  0.4252  0.1715  0.4252
Re  0.4252  0.4252  0.1715
Re  0.4330  0.9047  0.9047
Re  0.5000  0.5000  0.5000
Re  0.5670  0.0953  0.0953
Re  0.5748  0.5748  0.8285
Re  0.5748  0.8285  0.5748
Re  0.8285  0.5748  0.5748
Re  0.9047  0.4330  0.9047
Re  0.9047  0.9047  0.4330
B  0.0000  0.1714  0.8286
B  0.0000  0.3468  0.6532
B  0.0000  0.6532  0.3468
B  0.0000  0.8286  0.1714
B  0.1714  0.0000  0.8286
B  0.1714  0.8286  0.0000
B  0.3468  0.0000  0.6532
B  0.3468  0.6532  0.0000
B  0.6532  0.0000  0.3468
B  0.6532  0.3468  0.0000
B  0.8286  0.0000  0.1714
B  0.8286  0.1714  0.0000

---

Starting from a cell relaxed with GGA-PBE, the PXRD pattern of CeB4Rh12 was simulated for CuKα.

Largest 6 diffraction maxima, by intensity, 2θ from 10° to 90°:
d 2.462, 36.49°, I 100; d 2.081, 43.49°, I 64; d 1.335, 70.53°, I 25; d 1.263, 75.23°, I 19; d 2.248, 40.12°, I 17; d 1.148, 84.38°, I 16

Crystal structure
Cell lengths 6.7426, 6.7426, 6.7426 Å; angles 109.47, 109.47, 109.47 degrees
Atoms (fractional coordinates):
Ce  0.0000  0.0000  0.0000
B  0.0000  0.0000  0.5000
B  0.0000  0.5000  0.0000
B  0.5000  0.0000  0.0000
B  0.5000  0.5000  0.5000
Rh  0.1482  0.3206  0.8276
Rh  0.1724  0.4930  0.3206
Rh  0.1724  0.8518  0.6794
Rh  0.3206  0.1724  0.4930
Rh  0.3206  0.8276  0.1482
Rh  0.4930  0.3206  0.1724
Rh  0.5070  0.6794  0.8276
Rh  0.6794  0.1724  0.8518
Rh  0.6794  0.8276  0.5070
Rh  0.8276  0.1482  0.3206
Rh  0.8276  0.5070  0.6794
Rh  0.8518  0.6794  0.1724

---

Starting from a cell relaxed with GGA-PBE, the PXRD pattern of CeBRh4 was simulated for CuKα.

Largest 6 diffraction maxima, by intensity, 2θ from 10° to 90°:
d 2.411, 37.30°, I 100; d 2.398, 37.51°, I 85; d 2.290, 39.35°, I 43; d 2.152, 41.99°, I 39; d 1.257, 75.66°, I 29; d 1.568, 58.90°, I 26

Crystal structure
Cell lengths 7.5877, 7.5877, 5.8928 Å; angles 90.00, 90.00, 147.05 degrees
Atoms (fractional coordinates):
Ce  0.1067  0.8933  0.7500
Ce  0.8933  0.1067  0.2500
B  0.3956  0.6044  0.7500
B  0.6044  0.3956  0.2500
Rh  0.1070  0.8930  0.2500
Rh  0.3020  0.6980  0.0007
Rh  0.3020  0.6980  0.4993
Rh  0.5000  0.5000  0.0000
Rh  0.5000  0.5000  0.5000
Rh  0.6980  0.3020  0.5007
Rh  0.6980  0.3020  0.9993
Rh  0.8930  0.1070  0.7500

---

Starting from a cell relaxed with GGA-PBE, the PXRD pattern of Ce2BRh5 was simulated for CuKα.

Largest 6 diffraction maxima, by intensity, 2θ from 10° to 90°:
d 2.361, 38.12°, I 100; d 2.034, 44.54°, I 33; d 1.228, 77.75°, I 24; d 1.450, 64.26°, I 22; d 2.066, 43.82°, I 17; d 1.242, 76.71°, I 13

Crystal structure
Cell lengths 5.7532, 5.7532, 8.2647 Å; angles 90.00, 90.00, 90.00 degrees
Atoms (fractional coordinates):
Ce  0.0000  0.5000  0.0000
Ce  0.0000  0.5000  0.5000
Ce  0.5000  0.0000  0.0000
Ce  0.5000  0.0000  0.5000
B  0.0000  0.0000  0.2670
B  0.5000  0.5000  0.7670
Rh  0.0000  0.0000  0.9987
Rh  0.2440  0.2440  0.7495
Rh  0.2440  0.7560  0.7495
Rh  0.2560  0.2560  0.2495
Rh  0.2560  0.7440  0.2495
Rh  0.5000  0.5000  0.4987
Rh  0.7440  0.2560  0.2495
Rh  0.7440  0.7440  0.2495
Rh  0.7560  0.2440  0.7495
Rh  0.7560  0.7560  0.7495

---

Starting from a cell relaxed with GGA-PBE, the PXRD pattern of CeB4Rh6 was simulated for CuKα.

Largest 6 diffraction maxima, by intensity, 2θ from 10° to 90°:
d 2.343, 38.43°, I 100; d 2.406, 37.38°, I 31; d 1.982, 45.77°, I 27; d 2.132, 42.39°, I 18; d 1.452, 64.11°, I 12; d 4.685, 18.94°, I 11

Crystal structure
Cell lengths 5.6072, 5.6072, 5.8158 Å; angles 118.74, 118.74, 90.00 degrees
Atoms (fractional coordinates):
Ce  0.0000  0.0000  0.0000
B  0.3018  0.5510  0.8541
B  0.4487  0.4487  0.1474
B  0.5510  0.3018  0.8541
B  0.6971  0.6971  0.1452
Rh  0.0005  0.4995  0.9999
Rh  0.0718  0.0718  0.5531
Rh  0.4812  0.4812  0.5566
Rh  0.4995  0.0005  0.9999
Rh  0.5181  0.9259  0.4453
Rh  0.9259  0.5181  0.4453

---

Starting from a cell relaxed with GGA-PBE, the PXRD pattern of CeBRh5 was simulated for CuKα.

Largest 6 diffraction maxima, by intensity, 2θ from 10° to 90°:
d 2.142, 42.20°, I 100; d 2.573, 34.87°, I 83; d 1.971, 46.06°, I 56; d 1.477, 62.93°, I 36; d 2.231, 40.43°, I 34; d 1.168, 82.61°, I 28

Crystal structure
Cell lengths 3.9411, 3.9411, 6.6936 Å; angles 90.00, 90.00, 90.00 degrees
Atoms (fractional coordinates):
Ce  0.0000  0.0000  0.0000
B  0.5000  0.5000  0.5000
Rh  0.0000  0.5000  0.3095
Rh  0.0000  0.5000  0.6905
Rh  0.5000  0.0000  0.3095
Rh  0.5000  0.0000  0.6905
Rh  0.5000  0.5000  0.0000

---

Starting from a cell relaxed with GGA-PBE, the PXRD pattern of CeB2Ru2Rh was simulated for CuKα.

Largest 6 diffraction maxima, by intensity, 2θ from 10° to 90°:
d 2.427, 37.03°, I 100; d 2.547, 35.24°, I 66; d 2.380, 37.79°, I 48; d 2.031, 44.61°, I 40; d 2.533, 35.44°, I 31; d 1.273, 74.51°, I 25

Crystal structure
Cell lengths 5.6438, 9.5212, 2.9916 Å; angles 90.00, 90.00, 90.00 degrees
Atoms (fractional coordinates):
Ce  0.0000  0.0000  0.0000
Ce  0.5000  0.5000  0.0000
B  0.0000  0.3269  0.0000
B  0.0000  0.6731  0.0000
B  0.5000  0.1731  0.0000
B  0.5000  0.8269  0.0000
Ru  0.2500  0.2500  0.5000
Ru  0.2500  0.7500  0.5000
Ru  0.7500  0.2500  0.5000
Ru  0.7500  0.7500  0.5000
Rh  0.0000  0.5000  0.5000
Rh  0.5000  0.0000  0.5000

---

Starting from a cell relaxed with GGA-PBE, the PXRD pattern of Ce2BSbRh6 was simulated for CuKα.

Largest 6 diffraction maxima, by intensity, 2θ from 10° to 90°:
d 2.638, 33.98°, I 100; d 2.319, 38.83°, I 65; d 1.604, 57.47°, I 34; d 1.393, 67.22°, I 27; d 2.220, 40.64°, I 24; d 1.640, 56.08°, I 22

Crystal structure
Cell lengths 4.6381, 4.6381, 8.8800 Å; angles 90.00, 90.00, 90.00 degrees
Atoms (fractional coordinates):
Ce  0.0000  0.0000  0.2337
Ce  0.0000  0.0000  0.7663
B  0.5000  0.5000  0.0000
Sb  0.5000  0.5000  0.5000
Rh  0.0000  0.5000  0.0000
Rh  0.0000  0.5000  0.5000
Rh  0.5000  0.0000  0.0000
Rh  0.5000  0.0000  0.5000
Rh  0.5000  0.5000  0.2176
Rh  0.5000  0.5000  0.7824

---

Starting from a cell relaxed with GGA-PBE, the PXRD pattern of CeSiBRh6 was simulated for CuKα.

Largest 6 diffraction maxima, by intensity, 2θ from 10° to 90°:
d 2.457, 36.57°, I 100; d 2.123, 42.59°, I 39; d 2.317, 38.87°, I 32; d 1.837, 49.64°, I 31; d 2.410, 37.32°, I 29; d 2.527, 35.52°, I 22

Crystal structure
Cell lengths 7.5950, 7.5950, 7.5950 Å; angles 133.26, 112.02, 86.54 degrees
Atoms (fractional coordinates):
Ce  0.4320  0.1820  0.2500
Ce  0.5680  0.8180  0.7500
Si  0.0000  0.0000  0.5000
Si  0.0000  0.5000  0.0000
B  0.0000  0.5000  0.5000
B  0.5000  0.5000  0.0000
Rh  0.1218  0.3833  0.2504
Rh  0.1218  0.8714  0.7385
Rh  0.1640  0.9140  0.2500
Rh  0.2748  0.5248  0.7500
Rh  0.3671  0.1286  0.7504
Rh  0.3671  0.6167  0.2385
Rh  0.6329  0.3833  0.7615
Rh  0.6329  0.8714  0.2496
Rh  0.7252  0.4752  0.2500
Rh  0.8360  0.0860  0.7500
Rh  0.8782  0.1286  0.2615
Rh  0.8782  0.6167  0.7496

---

Starting from a cell relaxed with GGA-PBE, the PXRD pattern of CeB6Ru12 was simulated for CuKα.

Largest 6 diffraction maxima, by intensity, 2θ from 10° to 90°:
d 2.329, 38.66°, I 100; d 2.390, 37.64°, I 57; d 1.987, 45.65°, I 43; d 2.981, 29.98°, I 35; d 2.921, 30.60°, I 26; d 1.687, 54.40°, I 22

Crystal structure
Cell lengths 6.4408, 6.4408, 6.4408 Å; angles 103.55, 103.55, 103.55 degrees
Atoms (fractional coordinates):
Ce  0.0000  0.0000  0.0000
B  0.2355  0.2355  0.6871
B  0.2355  0.6871  0.2355
B  0.3129  0.7645  0.7645
B  0.6871  0.2355  0.2355
B  0.7645  0.3129  0.7645
B  0.7645  0.7645  0.3129
Ru  0.1323  0.5000  0.8677
Ru  0.1323  0.8677  0.5000
Ru  0.1838  0.4518  0.4518
Ru  0.4518  0.1838  0.4518
Ru  0.4518  0.4518  0.1838
Ru  0.5000  0.1323  0.8677
Ru  0.5000  0.8677  0.1323
Ru  0.5482  0.5482  0.8162
Ru  0.5482  0.8162  0.5482
Ru  0.8162  0.5482  0.5482
Ru  0.8677  0.1323  0.5000
Ru  0.8677  0.5000  0.1323

---

What did the twelfth record say?
Starting from a cell relaxed with GGA-PBE, the PXRD pattern of CeB6Ru12 was simulated for CuKα.

Largest 6 diffraction maxima, by intensity, 2θ from 10° to 90°:
d 2.329, 38.66°, I 100; d 2.390, 37.64°, I 57; d 1.987, 45.65°, I 43; d 2.981, 29.98°, I 35; d 2.921, 30.60°, I 26; d 1.687, 54.40°, I 22

Crystal structure
Cell lengths 6.4408, 6.4408, 6.4408 Å; angles 103.55, 103.55, 103.55 degrees
Atoms (fractional coordinates):
Ce  0.0000  0.0000  0.0000
B  0.2355  0.2355  0.6871
B  0.2355  0.6871  0.2355
B  0.3129  0.7645  0.7645
B  0.6871  0.2355  0.2355
B  0.7645  0.3129  0.7645
B  0.7645  0.7645  0.3129
Ru  0.1323  0.5000  0.8677
Ru  0.1323  0.8677  0.5000
Ru  0.1838  0.4518  0.4518
Ru  0.4518  0.1838  0.4518
Ru  0.4518  0.4518  0.1838
Ru  0.5000  0.1323  0.8677
Ru  0.5000  0.8677  0.1323
Ru  0.5482  0.5482  0.8162
Ru  0.5482  0.8162  0.5482
Ru  0.8162  0.5482  0.5482
Ru  0.8677  0.1323  0.5000
Ru  0.8677  0.5000  0.1323